# 1
Starting from the GGA-PBE geometry in Alexandria, the powder diffractogram of Sm8DyY3 was simulated for Cu Kα.
Neutral-atom scattering factors, no anomalous dispersion.

Cell and atoms:
```
data_Sm8DyY3
_space_group_name_H-M_alt 'I 2 2 2'
_space_group_IT_number 23
_cell_length_a 6.6070
_cell_length_b 11.3062
_cell_length_c 11.5100
_cell_angle_alpha 90.00
_cell_angle_beta 90.00
_cell_angle_gamma 90.00
loop_
_space_group_symop_operation_xyz
'x,y,z'
'-x,-y,z'
'x,-y,-z'
'-x,y,-z'
'x+1/2,y+1/2,z+1/2'
'-x+1/2,-y+1/2,z+1/2'
'x+1/2,-y+1/2,-z+1/2'
'-x+1/2,y+1/2,-z+1/2'
loop_
_atom_site_label
_atom_site_type_symbol
_atom_site_fract_x
_atom_site_fract_y
_atom_site_fract_z
_atom_site_occupancy
Sm1 Sm 0.0000 0.1646 0.2500 1
Sm2 Sm 0.2494 0.2515 0.4973 1
Dy1 Dy 0.0000 0.0000 0.0000 1
Y1 Y 0.0000 0.0000 0.5000 1
Y2 Y 0.0000 0.5000 0.2502 1
```

Largest 10 diffraction maxima, low angle first, 2θ = 10–90°:
hkl 1 1 0, 2θ 15.5, rel. 28
hkl 0 2 0, 2θ 15.7, rel. 20
hkl 0 0 4, 2θ 31.1, rel. 51
hkl 2 0 2, 2θ 31.2, rel. 49
hkl 1 3 2, 2θ 31.4, rel. 100
hkl 2 2 2, 2θ 35.1, rel. 50
hkl 0 4 2, 2θ 35.4, rel. 27
hkl 3 3 2, 2θ 50.6, rel. 21
hkl 2 6 0, 2θ 56.2, rel. 19
hkl 2 6 4, 2θ 65.6, rel. 24



# 2
Starting from the GGA-PBE geometry in Alexandria, the powder diffractogram of Cs5RbAu4 was simulated for Cu Kα.
Neutral-atom scattering factors, no anomalous dispersion.

Cell and atoms:
```
data_Cs5RbAu4
_space_group_name_H-M_alt 'C 1 2/m 1'
_space_group_IT_number 12
_cell_length_a 22.4412
_cell_length_b 5.1846
_cell_length_c 10.4250
_cell_angle_alpha 90.00
_cell_angle_beta 102.03
_cell_angle_gamma 90.00
loop_
_space_group_symop_operation_xyz
'x,y,z'
'-x,-y,-z'
'-x,y,-z'
'x,-y,z'
'x+1/2,y+1/2,z'
'-x+1/2,-y+1/2,-z'
'-x+1/2,y+1/2,-z'
'x+1/2,-y+1/2,z'
loop_
_atom_site_label
_atom_site_type_symbol
_atom_site_fract_x
_atom_site_fract_y
_atom_site_fract_z
_atom_site_occupancy
Cs1 Cs 0.0000 0.0000 0.0000 1
Cs2 Cs 0.1611 0.5000 0.8189 1
Cs3 Cs 0.1671 0.5000 0.3493 1
Rb1 Rb 0.0000 0.0000 0.5000 1
Au1 Au 0.0025 0.5000 0.2501 1
Au2 Au 0.1649 0.0000 0.5840 1
```

Largest 10 diffraction maxima, low angle first, 2θ = 10–90°:
hkl 2 0 1, 2θ 13.0, rel. 16
hkl 1 1 -2, 2θ 24.2, rel. 100
hkl 6 0 0, 2θ 24.3, rel. 49
hkl 5 1 2, 2θ 34.3, rel. 40
hkl 2 0 -4, 2θ 34.4, rel. 24
hkl 0 2 0, 2θ 34.6, rel. 20
hkl 7 1 -2, 2θ 34.9, rel. 39
hkl 6 2 0, 2θ 42.8, rel. 22
hkl 2 2 -4, 2θ 49.6, rel. 14
hkl 11 1 2, 2θ 55.8, rel. 20



# 3
Starting from the GGA-PBE geometry in Alexandria, the powder diffractogram of NpIF4 was simulated for Cu Kα.
Neutral-atom scattering factors, no anomalous dispersion.

Cell and atoms:
```
data_NpIF4
_space_group_name_H-M_alt 'C 1 2/m 1'
_space_group_IT_number 12
_cell_length_a 13.0880
_cell_length_b 6.0401
_cell_length_c 6.4487
_cell_angle_alpha 90.00
_cell_angle_beta 97.46
_cell_angle_gamma 90.00
loop_
_space_group_symop_operation_xyz
'x,y,z'
'-x,-y,-z'
'-x,y,-z'
'x,-y,z'
'x+1/2,y+1/2,z'
'-x+1/2,-y+1/2,-z'
'-x+1/2,y+1/2,-z'
'x+1/2,-y+1/2,z'
loop_
_atom_site_label
_atom_site_type_symbol
_atom_site_fract_x
_atom_site_fract_y
_atom_site_fract_z
_atom_site_occupancy
Np1 Np 0.0570 0.0000 0.2889 1
I1 I 0.1727 0.5000 0.3085 1
F1 F 0.0000 0.2021 0.0000 1
F2 F 0.0744 0.1949 0.6274 1
F3 F 0.1935 0.0000 0.1723 1
```

Largest 10 diffraction maxima, low angle first, 2θ = 10–90°:
hkl 2 0 0, 2θ 13.6, rel. 38
hkl 1 1 0, 2θ 16.2, rel. 100
hkl 2 0 -1, 2θ 18.2, rel. 53
hkl 2 0 1, 2θ 20.7, rel. 58
hkl 3 1 0, 2θ 25.3, rel. 54
hkl 0 0 2, 2θ 27.9, rel. 35
hkl 0 2 0, 2θ 29.6, rel. 49
hkl 3 1 1, 2θ 30.3, rel. 48
hkl 2 2 1, 2θ 36.4, rel. 38
hkl 5 1 -1, 2θ 38.7, rel. 46